This entry pairs a crystal structure of Na2Al3Ag3 with its computed powder XRD pattern. Radiation: λ = 1.5418 Å (Cu Kα). Structure: a DFT-relaxed cell (PBE, Alexandria).
Kinematic intensities with the Lorentz-polarization factor, no thermal factor.

Structural model:
Cell: 8.163 8.163 2.808 Å, 90.00 90.00 120.00°
Positions (direct):
Na1 0.333 0.667 0.000
Na2 0.667 0.333 0.000
Al1 0.000 0.746 0.000
Al2 0.254 0.254 0.000
Al3 0.746 0.000 0.000
Ag1 0.000 0.308 0.500
Ag2 0.308 0.000 0.500
Ag3 0.692 0.692 0.500

The 10 most intense peaks (2θ = 15–90°), sorted by position:
| h k l | two_theta | I (rel.) |
| --- | --- | --- |
| 1 1 0 | 21.8 | 100 |
| 3 0 0 | 38.2 | 49 |
| 1 1 1 | 38.9 | 90 |
| 2 2 0 | 44.4 | 17 |
| 2 1 1 | 46.9 | 13 |
| 3 0 1 | 50.6 | 15 |
| 2 2 1 | 55.7 | 21 |
| 4 1 1 | 69.5 | 21 |
| 3 0 2 | 79.4 | 13 |
| 2 2 2 | 83.6 | 12 |